No. 1
For Tb2DyTeO8, a crystal structure in Alexandria, relaxed with PBE gives the computed X-ray powder pattern in this record (Cu Kα).
Kinematic intensities with the Lorentz-polarization factor, no thermal factor.

Most intense lines, 2θ = 10–80°, low angle first:
2θ/deg	Rel. int.
24.7	582
25.1	535
31.4	1000
35.5	291
47.9	404
48.4	371
57.9	99
59.5	105
61.2	222
65.6	113

Structure:
```
data_Tb2DyTeO8
_cell_length_a 7.0969
_cell_length_b 7.2088
_cell_length_c 6.8861
_cell_angle_alpha 90.00
_cell_angle_beta 90.00
_cell_angle_gamma 90.00
_symmetry_space_group_name_H-M 'C m m m'
_symmetry_Int_Tables_number 65
_symmetry_space_group_name_Hall '-C 2 2'
loop_
_atom_site_label
_atom_site_type_symbol
_atom_site_fract_x
_atom_site_fract_y
_atom_site_fract_z
_atom_site_occupancy
Tb1 Tb 0.0000 0.0000 0.2485 1
Dy1 Dy 0.0000 0.5000 0.5000 1
Te1 Te 0.0000 0.5000 0.0000 1
O1 O 0.0000 0.3184 0.2119 1
O2 O 0.1919 0.0000 0.5000 1
O3 O 0.2261 0.0000 0.0000 1
```

No. 2
For CoH, a crystal structure in Alexandria, relaxed with PBE gives the computed X-ray powder pattern in this record (Cu Kα).
Kinematic intensities with the Lorentz-polarization factor, no thermal factor.

Most intense lines, 2θ = 10–80°, low angle first:
2θ/deg	Rel. int.
21.9	901
34.2	358
42.0	625
44.6	911
45.5	1000
45.7	631
50.0	855
54.4	186
58.2	202
59.1	259

Structure:
```
data_CoH
_cell_length_a 2.5380
_cell_length_b 6.4353
_cell_length_c 5.2425
_cell_angle_alpha 90.00
_cell_angle_beta 90.00
_cell_angle_gamma 90.00
_symmetry_space_group_name_H-M 'A m m 2'
_symmetry_Int_Tables_number 38
_symmetry_space_group_name_Hall 'A 2 -2'
loop_
_atom_site_label
_atom_site_type_symbol
_atom_site_fract_x
_atom_site_fract_y
_atom_site_fract_z
_atom_site_occupancy
Co1 Co 0.0000 0.0000 0.0000 1
Co2 Co 0.5000 0.2055 0.3140 1
H1 H 0.0000 0.2335 0.5579 1
H2 H 0.5000 0.0000 0.7835 1
```